Theoretical PXRD pattern of ZnCo4O6 for Cu Kα, from a cell relaxed with PBE+U.
Neutral-atom scattering factors, no anomalous dispersion.

Unit cell a=2.944 b=9.843 c=15.028 alpha=90.00 beta=90.00 gamma=90.00
Space group Cmcm (No. 63)
Unique sites:
1 Zn 0.000 0.157 0.250
2 Co 0.000 0.096 0.638
3 Co 0.000 0.364 0.545
4 O 0.000 0.000 0.000
5 O 0.000 0.201 0.750
6 O 0.000 0.277 0.074
7 O 0.000 0.455 0.658

Largest 10 diffraction maxima, low angle first, 15 to 90 degrees two-theta:
index, 2θ (°), I (rel.)
1 1 2, 33.9, 34
0 2 5, 35.0, 100
0 4 0, 36.5, 64
1 3 1, 41.7, 26
1 3 2, 43.0, 71
1 3 3, 45.2, 38
1 1 8, 59.1, 23
0 0 10, 61.7, 24
2 0 0, 63.2, 19
2 2 5, 74.3, 20